1.
Structure and simulated X-ray diffraction stick pattern of Sn2SbTeSe3 (a PBE-relaxed structure; Cu Kα (λ = 1.5418 Å)).

The 10 most intense peaks (2θ = 10–90°), in order of rising 2θ:
| (hkl) | d [Å] | two_theta | intensity |
| --- | --- | --- | --- |
| 1 1 0 | 4.429 | 20.0 | 28 |
| 0 2 1 | 3.765 | 23.6 | 35 |
| 1 1 3 | 3.671 | 24.2 | 34 |
| 0 2 4 | 3.025 | 29.5 | 100 |
| 1 0 7 | 2.638 | 34.0 | 27 |
| 1 2 5 | 2.335 | 38.6 | 22 |
| 2 2 0 | 2.215 | 40.7 | 79 |
| 2 0 8 | 2.071 | 43.7 | 42 |
| 2 1 7 | 2.018 | 44.9 | 28 |
| 2 2 12 | 1.318 | 71.6 | 25 |

Structural model:
Lattice parameters (Å, degrees): 8.8586 8.8586 19.6813 90.00 90.00 120.00
Space group R-3m (No. 166, hexagonal axes)
Unique sites:
Sn1 0.0000 0.0000 0.0000
Sn2 0.0000 0.5000 0.5000
Sb1 0.0000 0.0000 0.4085
Te1 0.0000 0.0000 0.2608
Se1 0.0257 0.5129 0.7512

2.
Structure and simulated X-ray diffraction stick pattern of Tb4PmSi4 (a PBE-relaxed structure; Cu Kα (λ = 1.5418 Å)).

The 10 most intense peaks (2θ = 10–90°), in order of rising 2θ:
| (hkl) | d [Å] | two_theta | intensity |
| --- | --- | --- | --- |
| 1 1 1 | 4.309 | 20.6 | 17 |
| 2 1 1 | 3.336 | 26.7 | 100 |
| 1 3 0 | 2.888 | 31.0 | 93 |
| 2 2 1 | 2.819 | 31.7 | 29 |
| 1 0 2 | 2.757 | 32.5 | 53 |
| 3 1 1 | 2.584 | 34.7 | 24 |
| 3 0 2 | 2.097 | 43.1 | 26 |
| 4 2 0 | 2.042 | 44.4 | 33 |
| 1 4 2 | 1.759 | 52.0 | 22 |
| 5 0 1 | 1.742 | 52.5 | 31 |

Structural model:
Lattice parameters (Å, degrees): 9.133 9.133 5.785 90.00 90.00 90.00
Space group P4_2/n (No. 86, origin choice 2)
Unique sites:
Tb1 0.085 0.652 0.127
Pm1 0.250 0.250 0.250
Si1 0.030 0.606 0.626

3.
Structure and simulated X-ray diffraction stick pattern of Pr3Y3Au4 (a PBE-relaxed structure; Cu Kα (λ = 1.5418 Å)).

The 10 most intense peaks (2θ = 10–90°), in order of rising 2θ:
| (hkl) | d [Å] | two_theta | intensity |
| --- | --- | --- | --- |
| 0 0 2 | 5.834 | 15.2 | 19 |
| 1 2 2 | 2.853 | 31.4 | 17 |
| 1 3 1 | 2.711 | 33.0 | 100 |
| 1 1 3 | 2.688 | 33.3 | 97 |
| 0 4 2 | 2.650 | 33.8 | 38 |
| 0 2 4 | 2.619 | 34.2 | 36 |
| 0 4 4 | 2.083 | 43.4 | 19 |
| 2 0 0 | 1.958 | 46.4 | 23 |
| 1 7 3 | 1.447 | 64.4 | 16 |
| 1 3 7 | 1.431 | 65.2 | 17 |

Structural model:
Lattice parameters (Å, degrees): 3.916 11.901 11.669 90.00 90.00 90.00
Space group Amm2 (No. 38)
Unique sites:
Pr1 0.000 0.000 0.000
Pr2 0.000 0.166 0.344
Y1 0.000 0.000 0.671
Y2 0.500 0.249 0.092
Au1 0.500 0.000 0.210
Au2 0.500 0.000 0.476
Au3 0.500 0.129 0.831

4.
Structure and simulated X-ray diffraction stick pattern of Tb2Pm6Dy3 (a PBE-relaxed structure; Cu Kα (λ = 1.5418 Å)).

The 10 most intense peaks (2θ = 10–90°), in order of rising 2θ:
| (hkl) | d [Å] | two_theta | intensity |
| --- | --- | --- | --- |
| 0 2 1 | 2.945 | 30.4 | 100 |
| -2 1 1 | 2.936 | 30.4 | 33 |
| 2 1 0 | 2.552 | 35.2 | 45 |
| 1 -3 1 | 2.542 | 35.3 | 22 |
| 3 1 -3 | 1.802 | 50.7 | 24 |
| 1 4 -1 | 1.799 | 50.7 | 16 |
| 3 0 2 | 1.540 | 60.1 | 14 |
| 4 0 -1 | 1.537 | 60.2 | 19 |
| 2 -4 3 | 1.535 | 60.3 | 14 |
| 3 -4 0 | 1.533 | 60.4 | 9 |

Structural model:
Lattice parameters (Å, degrees): 6.236 8.039 8.073 107.46 104.80 97.28
Space group P-1 (No. 2)
Unique sites:
Tb1 0.091 0.319 0.364
Pm1 0.182 0.136 0.726
Pm2 0.272 0.954 0.092
Pm3 0.455 0.589 0.817
Dy1 0.000 0.500 0.000
Dy2 0.363 0.771 0.454

5.
Structure and simulated X-ray diffraction stick pattern of Ho6AgTe3Se2 (a PBE-relaxed structure; Cu Kα (λ = 1.5418 Å)).

The 10 most intense peaks (2θ = 10–90°), in order of rising 2θ:
| (hkl) | d [Å] | two_theta | intensity |
| --- | --- | --- | --- |
| 1 3 -1 | 3.446 | 25.9 | 6 |
| 2 0 -2 | 2.992 | 29.9 | 100 |
| 1 3 -3 | 2.124 | 42.6 | 35 |
| 0 6 0 | 2.107 | 42.9 | 38 |
| 2 6 -2 | 1.723 | 53.2 | 20 |
| 4 0 -4 | 1.496 | 62.0 | 11 |
| 3 3 -5 | 1.342 | 70.1 | 14 |
| 5 3 -3 | 1.334 | 70.6 | 17 |
| 4 6 -4 | 1.220 | 78.4 | 12 |
| 6 0 -2 | 1.217 | 78.6 | 6 |

Structural model:
Lattice parameters (Å, degrees): 7.301 12.643 7.381 90.00 109.31 90.00
Space group C2/m (No. 12)
Unique sites:
Ho1 0.240 0.166 0.225
Ho2 0.244 0.500 0.227
Ag1 0.000 0.000 0.000
Te1 0.000 0.169 0.500
Te2 0.000 0.500 0.500
Se1 0.000 0.335 0.000

6.
Structure and simulated X-ray diffraction stick pattern of Th8AsRu3Se4 (a PBE-relaxed structure; Cu Kα (λ = 1.5418 Å)).

The 10 most intense peaks (2θ = 10–90°), in order of rising 2θ:
| (hkl) | d [Å] | two_theta | intensity |
| --- | --- | --- | --- |
| 2 0 2 | 3.412 | 26.1 | 26 |
| 0 2 4 | 2.992 | 29.9 | 100 |
| 2 0 8 | 2.157 | 41.9 | 36 |
| 2 2 0 | 2.077 | 43.6 | 37 |
| 0 0 12 | 1.798 | 50.8 | 13 |
| 4 0 4 | 1.706 | 53.7 | 19 |
| 0 4 8 | 1.496 | 62.0 | 11 |
| 2 2 12 | 1.359 | 69.1 | 13 |
| 2 4 4 | 1.318 | 71.6 | 16 |
| 4 2 8 | 1.214 | 78.8 | 11 |

Structural model:
Lattice parameters (Å, degrees): 8.3073 8.3073 21.5698 90.00 90.00 120.00
Space group R-3m (No. 166, hexagonal axes)
Unique sites:
Th1 0.0000 0.0000 0.2385
Th2 0.0130 0.5065 0.7582
As1 0.0000 0.0000 0.5000
Ru1 0.0000 0.5000 0.5000
Se1 0.0000 0.0000 0.0000
Se2 0.0000 0.5000 0.0000